This entry pairs a crystal structure of K6Na14Tl18Hg with its simulated powder XRD pattern. Radiation: a wavelength of 1.5418 Å. Structure: DFT lattice parameters and positions (GGA-PBE).

Principal peaks in the range 2θ = 10–90°, by angle:
hkl	2theta	Rel. int.
1 1 0	11.50	100
2 2 1	24.54	17
3 0 2	29.60	30
3 1 2	30.74	26
4 0 0	32.92	30
3 2 2	33.96	85
4 1 1	34.98	21
4 2 0	36.94	23
4 2 1	37.89	19
6 3 2	59.45	19

Crystal structure
```
data_K6Na14Tl18Hg
_space_group_name_H-M_alt 'P m -3'
_space_group_IT_number 200
_space_group_name_Hall '-P 2 2 3'
_cell_length_a 10.8827
_cell_length_b 10.8827
_cell_length_c 10.8827
_cell_angle_alpha 90.00
_cell_angle_beta 90.00
_cell_angle_gamma 90.00
loop_
_atom_site_label
_atom_site_fract_x
_atom_site_fract_y
_atom_site_fract_z
_atom_site_occupancy
K1 0.0000 0.3125 0.5000 1
Na1 0.0000 0.5000 0.1696 1
Na2 0.2189 0.2189 0.2189 1
Tl1 0.0000 0.0000 0.2204 1
Tl2 0.2457 0.5000 0.3448 1
Hg1 0.5000 0.5000 0.5000 1
```